(1)
For VP2H6O6, a structure optimized by DFT (PBE+U) gives the theoretical X-ray diffraction stick pattern in this record (λ = 1.5418 Å (Cu Kα)).
Lines closer than 0.1° are merged.

Peak list (6 most intense, 2θ = 15–90°, by angle)
- 2θ = 15.67°, I = 100.0
- 2θ = 21.24°, I = 39.2
- 2θ = 25.97°, I = 15.5
- 2θ = 28.13°, I = 24.3
- 2θ = 29.78°, I = 39.9
- 2θ = 41.71°, I = 14.3

Structure:
a b c (Å): 7.5404 7.5404 7.6848
angles (deg): 118.01 118.01 67.38
Fractional coordinates of all 30 atoms:
V 0.2343 0.7657 0.7500
V 0.7657 0.2343 0.2500
P 0.0976 0.4297 0.2878
P 0.4297 0.0976 0.7878
P 0.5703 0.9024 0.2122
P 0.9024 0.5703 0.7122
H 0.0714 0.8669 0.1248
H 0.1331 0.9286 0.3752
H 0.1629 0.4473 0.1529
H 0.2679 0.3091 0.3970
H 0.3091 0.2679 0.8970
H 0.4473 0.1629 0.6529
H 0.5527 0.8371 0.3471
H 0.6909 0.7321 0.1030
H 0.7321 0.6909 0.6030
H 0.8371 0.5527 0.8471
H 0.8669 0.0714 0.6248
H 0.9286 0.1331 0.8752
O 0.0349 0.9651 0.2500
O 0.0459 0.6440 0.4462
O 0.0817 0.6831 0.8567
O 0.3169 0.9183 0.6433
O 0.3560 0.9541 0.0538
O 0.4300 0.5700 0.7500
O 0.5700 0.4300 0.2500
O 0.6440 0.0459 0.9462
O 0.6831 0.0817 0.3567
O 0.9183 0.3169 0.1433
O 0.9541 0.3560 0.5538
O 0.9651 0.0349 0.7500

=====

(2)
For VPH4O6, a structure optimized by DFT (PBE+U) gives the theoretical X-ray diffraction stick pattern in this record (λ = 1.5418 Å (Cu Kα)).
Lines closer than 0.1° are merged.

Peak list (6 most intense, 2θ = 15–90°, by angle)
- 2θ = 17.42°, I = 37.3
- 2θ = 18.83°, I = 69.3
- 2θ = 20.43°, I = 100.0
- 2θ = 24.21°, I = 40.6
- 2θ = 31.27°, I = 62.7
- 2θ = 34.50°, I = 26.3

Structure:
a b c (Å): 5.3217 10.1830 9.9702
angles (deg): 90.00 119.32 90.00
Fractional coordinates of all 48 atoms:
V 0.1232 0.1730 0.2157
V 0.1232 0.3270 0.7157
V 0.8768 0.6730 0.2843
V 0.8768 0.8270 0.7843
P 0.2670 0.6412 0.6743
P 0.2670 0.8588 0.1743
P 0.7330 0.1412 0.8257
P 0.7330 0.3588 0.3257
H 0.0896 0.0398 0.7481
H 0.0896 0.4602 0.2481
H 0.3612 0.1624 0.5288
H 0.3612 0.3376 0.0288
H 0.3642 0.5549 0.2944
H 0.3642 0.9451 0.7944
H 0.4076 0.6946 0.0255
H 0.4076 0.8054 0.5255
H 0.5924 0.1946 0.4745
H 0.5924 0.3054 0.9745
H 0.6358 0.0549 0.2056
H 0.6358 0.4451 0.7056
H 0.6388 0.6624 0.9712
H 0.6388 0.8376 0.4712
H 0.9104 0.5398 0.7519
H 0.9104 0.9602 0.2519
O 0.0610 0.6702 0.7403
O 0.0610 0.8298 0.2403
O 0.1516 0.5543 0.2523
O 0.1516 0.9457 0.7523
O 0.1541 0.7035 0.5129
O 0.1541 0.7965 0.0129
O 0.2913 0.0106 0.1659
O 0.2913 0.4894 0.6659
O 0.4039 0.1492 0.4430
O 0.4039 0.3508 0.9430
O 0.4319 0.2006 0.7157
O 0.4319 0.2994 0.2157
O 0.5681 0.7006 0.7843
O 0.5681 0.7994 0.2843
O 0.5961 0.6492 0.0570
O 0.5961 0.8508 0.5570
O 0.7087 0.5106 0.3341
O 0.7087 0.9894 0.8341
O 0.8459 0.2035 0.9871
O 0.8459 0.2965 0.4871
O 0.8484 0.0543 0.2477
O 0.8484 0.4457 0.7477
O 0.9390 0.1702 0.7597
O 0.9390 0.3298 0.2597

=====

(3)
For V2P4H3O16, a structure optimized by DFT (PBE+U) gives the theoretical X-ray diffraction stick pattern in this record (λ = 1.5418 Å (Cu Kα)).
Lines closer than 0.1° are merged.

Peak list (6 most intense, 2θ = 15–90°, by angle)
- 2θ = 16.77°, I = 46.8
- 2θ = 22.61°, I = 46.0
- 2θ = 22.80°, I = 42.3
- 2θ = 25.15°, I = 96.1
- 2θ = 25.60°, I = 45.0
- 2θ = 29.98°, I = 100.0

Structure:
a b c (Å): 4.9170 7.1576 8.0889
angles (deg): 90.26 90.86 104.26
Fractional coordinates of all 25 atoms:
V 0.0000 0.0000 0.0000
V 0.4983 0.5035 0.4965
P 0.1163 0.7666 0.6560
P 0.3851 0.7305 0.1474
P 0.6100 0.2665 0.8449
P 0.8804 0.2397 0.3380
H 0.3405 0.0738 0.5988
H 0.6532 0.9327 0.3941
H 0.9644 0.4904 0.9854
O 0.0573 0.8301 0.8319
O 0.1556 0.3464 0.4270
O 0.2068 0.8869 0.1501
O 0.2269 0.5477 0.0660
O 0.2313 0.9480 0.5497
O 0.3136 0.6320 0.6640
O 0.3374 0.1774 0.9407
O 0.4749 0.7101 0.3309
O 0.5210 0.2952 0.6639
O 0.6644 0.8283 0.0563
O 0.6843 0.3752 0.3293
O 0.7620 0.0584 0.4436
O 0.7646 0.4587 0.9234
O 0.7961 0.1192 0.8429
O 0.8409 0.6587 0.5680
O 0.9412 0.1760 0.1625

=====

(4)
For P4H3W2O16, a structure optimized by DFT (PBE+U) gives the theoretical X-ray diffraction stick pattern in this record (λ = 1.5418 Å (Cu Kα)).
Lines closer than 0.1° are merged.

Peak list (6 most intense, 2θ = 15–90°, by angle)
- 2θ = 16.27°, I = 99.7
- 2θ = 16.46°, I = 95.1
- 2θ = 20.96°, I = 41.6
- 2θ = 21.26°, I = 100.0
- 2θ = 24.60°, I = 89.0
- 2θ = 29.07°, I = 86.9

Structure:
a b c (Å): 5.0452 7.3645 8.3441
angles (deg): 90.50 90.65 104.72
Fractional coordinates of all 25 atoms:
P 0.0000 0.0000 0.0000
P 0.2311 0.5419 0.7036
P 0.4951 0.5017 0.1975
P 0.7407 0.0466 0.5071
H 0.2592 0.2029 0.2418
H 0.5793 0.7609 0.8415
H 0.9755 0.3443 0.4607
W 0.1179 0.7747 0.3514
W 0.6181 0.2716 0.8545
O 0.0954 0.9799 0.1749
O 0.1430 0.5703 0.5304
O 0.2795 0.0943 0.9090
O 0.3036 0.6347 0.1922
O 0.3704 0.3211 0.2939
O 0.3831 0.7271 0.7838
O 0.4022 0.3940 0.6994
O 0.4774 0.9487 0.4180
O 0.5483 0.4493 0.0238
O 0.6898 0.0993 0.6810
O 0.7578 0.5987 0.2879
O 0.8431 0.1590 0.0068
O 0.8429 0.8233 0.9190
O 0.8618 0.2271 0.4096
O 0.9333 0.9144 0.5115
O 0.9595 0.4541 0.7967

=====

Copy entry 1 word for word.
For VP2H6O6, a structure optimized by DFT (PBE+U) gives the theoretical X-ray diffraction stick pattern in this record (λ = 1.5418 Å (Cu Kα)).
Lines closer than 0.1° are merged.

Peak list (6 most intense, 2θ = 15–90°, by angle)
- 2θ = 15.67°, I = 100.0
- 2θ = 21.24°, I = 39.2
- 2θ = 25.97°, I = 15.5
- 2θ = 28.13°, I = 24.3
- 2θ = 29.78°, I = 39.9
- 2θ = 41.71°, I = 14.3

Structure:
a b c (Å): 7.5404 7.5404 7.6848
angles (deg): 118.01 118.01 67.38
Fractional coordinates of all 30 atoms:
V 0.2343 0.7657 0.7500
V 0.7657 0.2343 0.2500
P 0.0976 0.4297 0.2878
P 0.4297 0.0976 0.7878
P 0.5703 0.9024 0.2122
P 0.9024 0.5703 0.7122
H 0.0714 0.8669 0.1248
H 0.1331 0.9286 0.3752
H 0.1629 0.4473 0.1529
H 0.2679 0.3091 0.3970
H 0.3091 0.2679 0.8970
H 0.4473 0.1629 0.6529
H 0.5527 0.8371 0.3471
H 0.6909 0.7321 0.1030
H 0.7321 0.6909 0.6030
H 0.8371 0.5527 0.8471
H 0.8669 0.0714 0.6248
H 0.9286 0.1331 0.8752
O 0.0349 0.9651 0.2500
O 0.0459 0.6440 0.4462
O 0.0817 0.6831 0.8567
O 0.3169 0.9183 0.6433
O 0.3560 0.9541 0.0538
O 0.4300 0.5700 0.7500
O 0.5700 0.4300 0.2500
O 0.6440 0.0459 0.9462
O 0.6831 0.0817 0.3567
O 0.9183 0.3169 0.1433
O 0.9541 0.3560 0.5538
O 0.9651 0.0349 0.7500